1.
Structure and calculated X-ray powder pattern of CeSb12Os4 (a cell relaxed with GGA-PBE; a wavelength of 1.5418 Å).
No peak broadening, texture or thermal motion is included.

Most intense lines, 2θ = 10–90°, in order of rising 2θ:
| 2theta | I (rel.) |
| --- | --- |
| 18.88 | 30 |
| 26.82 | 30 |
| 30.06 | 100 |
| 35.73 | 47 |
| 43.02 | 53 |
| 47.37 | 62 |

```
CeSb12Os4
1.0
-4.7011 4.7011 4.7011
4.7011 -4.7011 4.7011
4.7011 4.7011 -4.7011
Ce Sb Os
1 12 4
Direct
0.0000 0.0000 0.0000
0.1570 0.3379 0.4949
0.1570 0.6621 0.8191
0.1809 0.8430 0.3379
0.3379 0.1809 0.8430
0.3379 0.4949 0.1570
0.4949 0.1570 0.3379
0.5051 0.8430 0.6621
0.6621 0.5051 0.8430
0.6621 0.8191 0.1570
0.8191 0.1570 0.6621
0.8430 0.3379 0.1809
0.8430 0.6621 0.5051
0.0000 0.0000 0.5000
0.0000 0.5000 0.0000
0.5000 0.0000 0.0000
0.5000 0.5000 0.5000
```

2.
Structure and calculated X-ray powder pattern of CaSiH2O4 (a cell relaxed with GGA-PBE; a wavelength of 1.5418 Å).
No peak broadening, texture or thermal motion is included.

Most intense lines, 2θ = 10–90°, in order of rising 2θ:
| 2theta | I (rel.) |
| --- | --- |
| 17.72 | 100 |
| 24.62 | 69 |
| 27.70 | 31 |
| 29.40 | 29 |
| 31.72 | 41 |
| 37.03 | 80 |

```
CaSiH2O4
1.0
0.0000 11.6891 1.7984
9.7033 0.0000 1.7984
9.7033 11.6891 0.0000
Ca Si H O
4 4 8 16
Direct
0.0619 0.9381 0.8535
0.1035 0.3965 0.3119
0.3965 0.1035 0.1881
0.9381 0.0619 0.1465
0.1240 0.4774 0.5833
0.4346 0.6667 0.7726
0.4774 0.1240 0.8154
0.6667 0.4346 0.1260
0.2473 0.7092 0.6715
0.3065 0.6466 0.5776
0.5785 0.8780 0.0027
0.6466 0.3065 0.4693
0.6724 0.7807 0.9435
0.7092 0.2473 0.3720
0.7807 0.6724 0.6034
0.8780 0.5785 0.5408
0.0566 0.0566 0.4434
0.1096 0.7741 0.7534
0.1928 0.1928 0.8072
0.3353 0.6665 0.6165
0.4428 0.4428 0.0572
0.4612 0.5270 0.7463
0.4966 0.8872 0.1404
0.5037 0.9845 0.7888
0.5270 0.4612 0.2655
0.6335 0.8682 0.9147
0.6665 0.3353 0.3818
0.7741 0.1096 0.3628
0.8066 0.8066 0.1934
0.8682 0.6335 0.5835
0.8872 0.4966 0.4759
0.9845 0.5037 0.7230
```

3.
Structure and calculated X-ray powder pattern of TbAsSe (a cell relaxed with GGA-PBE; a wavelength of 1.5418 Å).
No peak broadening, texture or thermal motion is included.

Most intense lines, 2θ = 10–90°, in order of rising 2θ:
| 2theta | I (rel.) |
| --- | --- |
| 24.84 | 18 |
| 30.41 | 25 |
| 32.17 | 24 |
| 33.78 | 42 |
| 38.24 | 100 |
| 46.29 | 18 |

```
TbAsSe
1.0
17.6334 0.0000 0.0000
0.0000 3.9224 0.0000
0.0000 0.0000 3.9474
Tb As Se
4 4 4
Direct
0.1394 0.2500 0.2301
0.3606 0.7500 0.7301
0.6394 0.2500 0.2699
0.8606 0.7500 0.7699
0.0020 0.2500 0.7133
0.4980 0.7500 0.2133
0.5020 0.2500 0.7867
0.9980 0.7500 0.2867
0.1877 0.7500 0.7313
0.3123 0.2500 0.2313
0.6877 0.7500 0.7687
0.8123 0.2500 0.2687
```

4.
Structure and calculated X-ray powder pattern of ZnGa2S4 (a cell relaxed with GGA-PBE; a wavelength of 1.5418 Å).
No peak broadening, texture or thermal motion is included.

Most intense lines, 2θ = 10–90°, in order of rising 2θ:
| 2theta | I (rel.) |
| --- | --- |
| 18.56 | 22 |
| 29.02 | 100 |
| 47.91 | 22 |
| 48.50 | 42 |
| 56.99 | 27 |
| 89.81 | 14 |

```
ZnGa2S4
1.0
-2.6854 2.6854 5.2484
2.6854 -2.6854 5.2484
2.6854 2.6854 -5.2484
Zn Ga S
1 2 4
Direct
0.0000 0.0000 0.0000
0.2500 0.7500 0.5000
0.5000 0.5000 0.0000
0.1194 0.1290 0.5090
0.3896 0.8806 0.0096
0.6200 0.6104 0.4910
0.8710 0.3800 0.9904
```

5.
Structure and calculated X-ray powder pattern of TmGe2Rh4 (a cell relaxed with GGA-PBE; a wavelength of 1.5418 Å).
No peak broadening, texture or thermal motion is included.

Most intense lines, 2θ = 10–90°, in order of rising 2θ:
| 2theta | I (rel.) |
| --- | --- |
| 37.14 | 100 |
| 37.34 | 61 |
| 38.02 | 63 |
| 39.29 | 48 |
| 39.65 | 32 |
| 42.93 | 67 |

```
TmGe2Rh4
1.0
11.4439 0.0000 0.0000
0.0000 4.2140 0.0000
0.0000 0.0000 9.1840
Tm Ge Rh
4 8 16
Direct
0.1743 0.2500 0.1476
0.3257 0.7500 0.6476
0.6743 0.2500 0.3524
0.8257 0.7500 0.8524
0.0595 0.7500 0.3819
0.1382 0.7500 0.9139
0.3618 0.2500 0.4139
0.4405 0.2500 0.8819
0.5595 0.7500 0.1181
0.6382 0.7500 0.5861
0.8618 0.2500 0.0861
0.9405 0.2500 0.6181
0.0011 0.2500 0.8841
0.0614 0.7500 0.6711
0.1556 0.2500 0.4961
0.2314 0.2500 0.8088
0.2686 0.7500 0.3088
0.3444 0.7500 0.9961
0.4386 0.2500 0.1711
0.4989 0.7500 0.3841
0.5011 0.2500 0.6159
0.5614 0.7500 0.8289
0.6556 0.2500 0.0039
0.7314 0.2500 0.6912
0.7686 0.7500 0.1912
0.8444 0.7500 0.5039
0.9386 0.2500 0.3289
0.9989 0.7500 0.1159
```

6.
Structure and calculated X-ray powder pattern of Y5Co19P12 (a cell relaxed with GGA-PBE; a wavelength of 1.5418 Å).
No peak broadening, texture or thermal motion is included.

Most intense lines, 2θ = 10–90°, in order of rising 2θ:
| 2theta | I (rel.) |
| --- | --- |
| 38.71 | 100 |
| 39.71 | 40 |
| 49.58 | 24 |
| 52.80 | 18 |
| 75.35 | 12 |
| 85.58 | 14 |

```
Y5Co19P12
1.0
12.0119 0.0000 0.0000
-6.0059 10.4026 0.0000
0.0000 0.0000 3.6771
Y Co P
5 19 12
Direct
0.0000 0.1877 0.0000
0.1877 0.0000 0.0000
0.3333 0.6667 0.5000
0.6667 0.3333 0.5000
0.8123 0.8123 0.0000
0.0000 0.0000 0.5000
0.0000 0.5527 0.5000
0.0000 0.7149 0.0000
0.1254 0.4836 0.0000
0.1777 0.7998 0.5000
0.2002 0.3778 0.5000
0.2851 0.2851 0.0000
0.3583 0.8746 0.0000
0.3778 0.2002 0.5000
0.4473 0.4473 0.5000
0.4836 0.1254 0.0000
0.5164 0.6417 0.0000
0.5527 0.0000 0.5000
0.6222 0.8223 0.5000
0.6417 0.5164 0.0000
0.7149 0.0000 0.0000
0.7998 0.1777 0.5000
0.8223 0.6222 0.5000
0.8746 0.3583 0.0000
0.0000 0.3685 0.5000
0.0000 0.8191 0.5000
0.1657 0.6857 0.0000
0.1809 0.1809 0.5000
0.3143 0.4800 0.0000
0.3685 0.0000 0.5000
0.4800 0.3143 0.0000
0.5200 0.8343 0.0000
0.6315 0.6315 0.5000
0.6857 0.1657 0.0000
0.8191 0.0000 0.5000
0.8343 0.5200 0.0000
```

7.
Structure and calculated X-ray powder pattern of NaHN (a cell relaxed with GGA-PBE; a wavelength of 1.5418 Å).
No peak broadening, texture or thermal motion is included.

Most intense lines, 2θ = 10–90°, in order of rising 2θ:
| 2theta | I (rel.) |
| --- | --- |
| 13.19 | 100 |
| 21.10 | 72 |
| 21.23 | 79 |
| 26.57 | 77 |
| 31.88 | 96 |
| 32.23 | 87 |

```
NaHN
1.0
0.0000 5.6139 6.3642
5.5552 0.0000 6.3642
5.5552 5.6139 0.0000
Na H N
8 8 8
Direct
0.0490 0.6821 0.3903
0.3179 0.9510 0.6214
0.3786 0.3903 0.6821
0.3903 0.3786 0.0490
0.6097 0.6214 0.9510
0.6214 0.6097 0.3179
0.6821 0.0490 0.3786
0.9510 0.3179 0.6097
0.1002 0.7478 0.8345
0.1655 0.1825 0.8998
0.1825 0.1655 0.2522
0.2522 0.8998 0.1825
0.7478 0.1002 0.8175
0.8175 0.8345 0.7478
0.8345 0.8175 0.1002
0.8998 0.2522 0.1655
0.2013 0.2236 0.7449
0.2236 0.2013 0.3302
0.2551 0.6698 0.7987
0.3302 0.7449 0.2236
0.6698 0.2551 0.7764
0.7449 0.3302 0.2013
0.7764 0.7987 0.6698
0.7987 0.7764 0.2551
```

8.
Structure and calculated X-ray powder pattern of Th5OF19 (a cell relaxed with GGA-PBE; a wavelength of 1.5418 Å).
No peak broadening, texture or thermal motion is included.

Most intense lines, 2θ = 10–90°, in order of rising 2θ:
| 2theta | I (rel.) |
| --- | --- |
| 22.31 | 100 |
| 24.94 | 79 |
| 26.20 | 45 |
| 27.14 | 53 |
| 44.56 | 60 |
| 44.98 | 42 |

```
Th5OF19
1.0
11.8714 -3.6613 0.0000
11.8714 3.6613 0.0000
0.0000 0.0000 8.3029
Th O F
10 2 38
Direct
0.1304 0.8696 0.7500
0.1779 0.2095 0.2500
0.2095 0.1779 0.7500
0.3672 0.3672 0.0000
0.3672 0.3672 0.5000
0.6328 0.6328 0.0000
0.6328 0.6328 0.5000
0.7905 0.8221 0.2500
0.8221 0.7905 0.7500
0.8696 0.1304 0.2500
0.1699 0.8301 0.2500
0.8301 0.1699 0.7500
0.0000 0.0000 0.0000
0.0000 0.0000 0.5000
0.0073 0.6612 0.0128
0.0073 0.6612 0.4872
0.0516 0.4880 0.2500
0.0703 0.1340 0.2500
0.1340 0.0703 0.7500
0.1787 0.4810 0.7500
0.2512 0.5204 0.2500
0.2620 0.2620 0.0000
0.2620 0.2620 0.5000
0.2686 0.6103 0.5849
0.2686 0.6103 0.9151
0.3388 0.9927 0.0128
0.3388 0.9927 0.4872
0.3897 0.7314 0.5849
0.3897 0.7314 0.9151
0.4796 0.7488 0.2500
0.4810 0.1787 0.2500
0.4880 0.0516 0.7500
0.5120 0.9484 0.2500
0.5190 0.8213 0.7500
0.5204 0.2512 0.7500
0.6103 0.2686 0.0849
0.6103 0.2686 0.4151
0.6612 0.0073 0.5128
0.6612 0.0073 0.9872
0.7314 0.3897 0.0849
0.7314 0.3897 0.4151
0.7380 0.7380 0.0000
0.7380 0.7380 0.5000
0.7488 0.4796 0.7500
0.8213 0.5190 0.2500
0.8660 0.9297 0.2500
0.9297 0.8660 0.7500
0.9484 0.5120 0.7500
0.9927 0.3388 0.5128
0.9927 0.3388 0.9872
```

9.
Structure and calculated X-ray powder pattern of Ti2Be17 (a cell relaxed with GGA-PBE; a wavelength of 1.5418 Å).
No peak broadening, texture or thermal motion is included.

Most intense lines, 2θ = 10–90°, in order of rising 2θ:
| 2theta | I (rel.) |
| --- | --- |
| 16.21 | 43 |
| 24.26 | 77 |
| 35.04 | 100 |
| 42.69 | 46 |
| 49.71 | 42 |
| 50.05 | 75 |

```
Ti2Be17
1.0
3.6682 2.1178 3.5777
-3.6682 2.1178 3.5777
0.0000 -4.2357 3.5777
Ti Be
2 17
Direct
0.1638 0.1638 0.1638
0.8362 0.8362 0.8362
0.0000 0.5000 0.5000
0.1536 0.1536 0.6602
0.1536 0.6602 0.1536
0.2048 0.5000 0.7952
0.2048 0.7952 0.5000
0.3398 0.8464 0.8464
0.4010 0.4010 0.4010
0.5000 0.0000 0.5000
0.5000 0.2048 0.7952
0.5000 0.5000 0.0000
0.5000 0.7952 0.2048
0.5990 0.5990 0.5990
0.6602 0.1536 0.1536
0.7952 0.2048 0.5000
0.7952 0.5000 0.2048
0.8464 0.3398 0.8464
0.8464 0.8464 0.3398
```

10.
Structure and calculated X-ray powder pattern of La2MgTiZnO6 (a cell relaxed with GGA-PBE; a wavelength of 1.5418 Å).
No peak broadening, texture or thermal motion is included.

Most intense lines, 2θ = 10–90°, in order of rising 2θ:
| 2theta | I (rel.) |
| --- | --- |
| 16.94 | 29 |
| 21.59 | 31 |
| 27.35 | 100 |
| 30.71 | 38 |
| 32.31 | 34 |
| 33.90 | 29 |

```
La2MgTiZnO6
1.0
5.5444 0.0000 0.0000
-0.1335 6.3057 0.0000
-2.6215 -2.9145 5.0470
La Mg Ti Zn O
2 1 1 1 6
Direct
0.0000 0.0000 0.0000
0.3460 0.4930 0.7331
0.6035 0.6052 0.3611
0.1229 0.7286 0.3535
0.7092 0.1533 0.4749
0.0172 0.7109 0.6086
0.0830 0.0566 0.4334
0.2407 0.3998 0.2600
0.2952 0.7479 0.1413
0.5393 0.8150 0.6856
0.7567 0.5653 0.1021
```